Record 1
For NaCaNb, a DFT-relaxed cell (GGA-PBE, Alexandria) gives the calculated XRD peak list in this record (Cu Ka).

Top 10 peaks for 5° ≤ 2θ ≤ 70°, low angle first:
d [Å]	I/Imax	index
14.312	100	0 0 1
7.156	11	0 0 2
2.861	17	0 0 5
2.528	21	1 1 0
2.489	7	1 1 1
2.234	7	1 0 5
1.894	4	1 1 5
1.787	4	2 0 0
1.516	5	2 1 3
1.459	4	2 1 4

a b c (Å): 3.5738 3.5738 14.3120
angles (deg): 90.00 90.00 90.00
Space group P4/nmm (No. 129, origin choice 2)
One atom of each set of equivalent atoms:
Na (0.2500, 0.2500, 0.0999) (multiplicity 2)
Ca (0.2500, 0.2500, 0.6924) (multiplicity 2)
Nb (0.2500, 0.2500, 0.4634) (multiplicity 2)

=====

Record 2
For RbNaCa2Nb4O13, a DFT-relaxed cell (GGA-PBE, Alexandria) gives the calculated XRD peak list in this record (Cu Ka).

Top 10 peaks for 5° ≤ 2θ ≤ 70°, low angle first:
d [Å]	I/Imax	index
3.980	49	1 0 0
3.854	41	0 0 5
3.383	37	1 0 3
3.068	100	1 0 4
2.814	72	1 1 0
2.769	29	1 0 5
1.990	56	2 0 0
1.886	22	1 0 9
1.768	17	2 0 5
1.669	32	2 1 4

a b c (Å): 3.9796 3.9796 19.2719
angles (deg): 90.00 90.00 90.00
Space group P4/mmm (No. 123)
One atom of each set of equivalent atoms:
Rb (0.0000, 0.0000, 0.0000) (multiplicity 1)
Na (0.0000, 0.0000, 0.5000) (multiplicity 1)
Ca (0.0000, 0.0000, 0.2784) (multiplicity 2)
Nb (0.5000, 0.5000, 0.1737) (multiplicity 2)
Nb (0.5000, 0.5000, 0.3946) (multiplicity 2)
O (0.0000, 0.5000, 0.1959) (multiplicity 4)
O (0.0000, 0.5000, 0.3938) (multiplicity 4)
O (0.5000, 0.5000, 0.0803) (multiplicity 2)
O (0.5000, 0.5000, 0.2933) (multiplicity 2)
O (0.5000, 0.5000, 0.5000) (multiplicity 1)

=====

Record 3
For NaCaNbSnO6, a DFT-relaxed cell (GGA-PBE, Alexandria) gives the calculated XRD peak list in this record (Cu Ka).

Top 10 peaks for 5° ≤ 2θ ≤ 70°, low angle first:
d [Å]	I/Imax	index
4.663	3	1 1 1
4.039	66	2 0 0
2.856	100	2 2 0
2.435	2	3 1 1
2.332	2	2 2 2
2.019	41	4 0 0
1.806	28	4 2 0
1.649	40	4 2 2
1.428	24	4 4 0
1.346	13	6 0 0

a b c (Å): 8.0774 8.0774 8.0774
angles (deg): 90.00 90.00 90.00
Space group F-43m (No. 216)
One atom of each set of equivalent atoms:
Na (0.0000, 0.0000, 0.0000) (multiplicity 4)
Ca (0.0000, 0.0000, 0.5000) (multiplicity 4)
Nb (0.2500, 0.2500, 0.2500) (multiplicity 4)
Sn (0.2500, 0.2500, 0.7500) (multiplicity 4)
O (0.0033, 0.2500, 0.2500) (multiplicity 24)

=====

Record 4
For NaCaNd, a DFT-relaxed cell (GGA-PBE, Alexandria) gives the calculated XRD peak list in this record (Cu Ka).

Top 10 peaks for 5° ≤ 2θ ≤ 70°, low angle first:
d [Å]	I/Imax	index
16.449	100	0 0 1
8.224	6	0 0 2
3.386	9	1 0 2
3.076	37	1 0 3
2.757	9	1 0 4
2.741	6	0 0 6
2.627	12	1 1 0
2.594	6	1 1 1
1.897	8	1 1 6
1.590	10	2 1 3

a b c (Å): 3.7157 3.7157 16.4489
angles (deg): 90.00 90.00 90.00
Space group P4/nmm (No. 129, origin choice 2)
One atom of each set of equivalent atoms:
Na (0.2500, 0.2500, 0.0815) (multiplicity 2)
Ca (0.2500, 0.2500, 0.7451) (multiplicity 2)
Nd (0.2500, 0.2500, 0.4251) (multiplicity 2)

=====

Record 5
For NaCa2NpO6, a DFT-relaxed cell (GGA-PBE, Alexandria) gives the calculated XRD peak list in this record (Cu Ka).

Top 10 peaks for 5° ≤ 2θ ≤ 70°, low angle first:
d [Å]	I/Imax	index
5.079	42	0 0 3
4.800	100	1 0 1
4.214	65	0 1 2
3.043	58	1 0 4
2.920	55	1 1 0
2.531	42	2 -1 3
2.107	26	0 2 4
1.916	36	2 -1 6
1.709	24	3 -1 4
1.686	19	3 0 0

a b c (Å): 5.8399 5.8399 15.2376
angles (deg): 90.00 90.00 120.00
Space group R3 (No. 146, hexagonal axes)
One atom of each set of equivalent atoms:
Na (0.0000, 0.0000, 0.0000) (multiplicity 3)
Ca (0.0000, 0.0000, 0.2719) (multiplicity 3)
Ca (0.0000, 0.0000, 0.7856) (multiplicity 3)
Np (0.0000, 0.0000, 0.4828) (multiplicity 3)
O (0.0164, 0.3854, 0.2179) (multiplicity 9)
O (0.0649, 0.6710, 0.0666) (multiplicity 9)

=====

Record 6
For NaCaOs2O8, a DFT-relaxed cell (GGA-PBE, Alexandria) gives the calculated XRD peak list in this record (Cu Ka).

Top 10 peaks for 5° ≤ 2θ ≤ 70°, low angle first:
d [Å]	I/Imax	index
4.855	58	1 0 1
3.172	100	1 1 2
2.949	12	0 0 4
2.663	15	2 0 0
2.335	16	1 2 1
1.977	23	2 0 4
1.883	10	2 2 0
1.743	13	1 1 6
1.620	23	1 3 2
1.587	9	2 2 4

a b c (Å): 5.3270 5.3270 11.7966
angles (deg): 90.00 90.00 90.00
Space group I-4 (No. 82)
One atom of each set of equivalent atoms:
Na (0.0000, 0.0000, 0.0000) (multiplicity 2)
Ca (0.0000, 0.5000, 0.7500) (multiplicity 2)
Os (0.0000, 0.0000, 0.5000) (multiplicity 2)
Os (0.0000, 0.5000, 0.2500) (multiplicity 2)
O (0.1441, 0.2446, 0.5816) (multiplicity 8)
O (0.1547, 0.7448, 0.1728) (multiplicity 8)

=====

What is the formula in the fourth record? NaCaNd